[1]
Structure and computed powder diffraction line list of CoHgBr5 (a structure optimized by DFT (PBE); a wavelength of 1.5418 Å).
Peak positions follow from Bragg's law for the DFT cell and can differ from measured ones.

Most intense lines, 15 to 90 degrees two-theta, sorted by position:
2θ/deg  I/Imax
15.76  41.7
18.59  100.0
18.98  24.0
19.29  46.9
27.56  65.2
29.65  32.6
29.99  24.2
31.83  23.5
34.40  25.4
36.65  44.9
37.66  34.8
42.46  32.3

```
data_CoHgBr5
_chemical_formula_sum 'Co4 Hg4 Br20'
_cell_length_a 15.6367
_cell_length_b 7.6419
_cell_length_c 9.7979
_cell_angle_alpha 90.00
_cell_angle_beta 90.00
_cell_angle_gamma 90.00
_symmetry_space_group_name_H-M 'P n m a'
_symmetry_Int_Tables_number 62
_symmetry_space_group_name_Hall '-P 2ac 2n'
loop_
_atom_site_label
_atom_site_fract_x
_atom_site_fract_y
_atom_site_fract_z
Co1 0.1562 0.2500 0.0731
Hg1 0.0114 0.2500 0.6940
Br1 0.0000 0.0000 0.5000
Br2 0.0897 0.5132 0.1256
Br3 0.1632 0.2500 0.8283
Br4 0.2075 0.7500 0.6509
```

[2]
Structure and computed powder diffraction line list of K2CoHgBr6 (a structure optimized by DFT (PBE); a wavelength of 1.5418 Å).
Peak positions follow from Bragg's law for the DFT cell and can differ from measured ones.

Most intense lines, 15 to 90 degrees two-theta, sorted by position:
2θ/deg  I/Imax
16.70  100.0
24.10  18.6
27.78  48.1
33.77  87.9
36.30  30.8
37.37  20.1
38.42  31.0
40.94  13.7
41.43  15.3
47.64  17.0
49.36  29.2
50.83  14.4

```
data_K2CoHgBr6
_chemical_formula_sum 'K6 Co3 Hg3 Br18'
_cell_length_a 7.6356
_cell_length_b 7.6356
_cell_length_c 17.8044
_cell_angle_alpha 90.00
_cell_angle_beta 90.00
_cell_angle_gamma 120.00
_symmetry_space_group_name_H-M 'R -3'
_symmetry_Int_Tables_number 148
_symmetry_space_group_name_Hall '-R 3'
loop_
_atom_site_label
_atom_site_fract_x
_atom_site_fract_y
_atom_site_fract_z
K1 0.0000 0.0000 0.2470
Co1 0.0000 0.0000 0.0000
Hg1 0.0000 0.0000 0.5000
Br1 0.0354 0.5825 0.7463
```

[3]
Structure and computed powder diffraction line list of NdHoCoBr (a structure optimized by DFT (PBE); a wavelength of 1.5418 Å).
Peak positions follow from Bragg's law for the DFT cell and can differ from measured ones.

Most intense lines, 15 to 90 degrees two-theta, sorted by position:
2θ/deg  I/Imax
26.66  22.6
27.49  15.0
30.59  39.0
32.75  100.0
34.67  13.9
37.96  10.2
46.56  42.1
47.42  24.7
58.08  19.1
59.33  17.9
77.51  16.2
87.03  8.6

```
data_NdHoCoBr
_chemical_formula_sum 'Nd2 Ho2 Co2 Br2'
_cell_length_a 6.7546
_cell_length_b 3.9028
_cell_length_c 8.0840
_cell_angle_alpha 90.00
_cell_angle_beta 106.23
_cell_angle_gamma 90.00
_symmetry_space_group_name_H-M 'C 1 m 1'
_symmetry_Int_Tables_number 8
_symmetry_space_group_name_Hall 'C -2y'
loop_
_atom_site_label
_atom_site_fract_x
_atom_site_fract_y
_atom_site_fract_z
Nd1 0.0000 0.0000 0.0000
Ho1 0.2070 0.0000 0.6200
Co1 0.1016 0.5000 0.8041
Br1 0.2745 0.5000 0.3245
```